This entry pairs a crystal structure of MgAl2P2H18O18 with its simulated powder XRD pattern. Radiation: Cu Ka. Structure: DFT lattice parameters and positions (PBE).

Main lines, by angle (10 to 90 degrees two-theta):
13.83 deg, I 100.0, hkl 0 1 0; 18.47 deg, I 61.6, hkl 1 -1 0; 22.27 deg, I 23.9, hkl 1 0 -2; 27.26 deg, I 21.5, hkl 1 1 0; 27.86 deg, I 90.5, hkl 0 2 0; 28.65 deg, I 40.5, hkl 1 0 -3; 31.12 deg, I 31.6, hkl 1 1 1; 31.21 deg, I 41.2, hkl -1 1 3; 34.73 deg, I 51.4, hkl 1 -1 3; 36.29 deg, I 27.7, hkl 0 1 -4; 37.32 deg, I 21.8, hkl 2 0 -2; 44.89 deg, I 35.0, hkl 1 0 -5

Structural model:
a b c (Å): 5.270 6.975 10.295
angles (deg): 96.68 101.77 110.28
Element x y z (fractional)
1 Mg 0.000 0.000 0.000
2 Al 0.500 0.000 0.500
3 Al 0.500 0.500 0.500
4 P 0.015 0.922 0.667
5 P 0.985 0.078 0.333
6 H 0.081 0.577 0.252
7 H 0.096 0.658 0.821
8 H 0.168 0.674 0.514
9 H 0.198 0.397 0.951
10 H 0.301 0.942 0.206
11 H 0.315 0.494 0.723
12 H 0.339 0.403 0.103
13 H 0.392 0.300 0.674
14 H 0.473 0.011 0.877
15 H 0.527 0.989 0.123
16 H 0.608 0.700 0.326
17 H 0.661 0.597 0.897
18 H 0.685 0.506 0.277
19 H 0.699 0.058 0.794
20 H 0.802 0.603 0.049
21 H 0.832 0.326 0.486
22 H 0.904 0.342 0.179
23 H 0.919 0.423 0.748
24 O 0.097 0.906 0.818
25 O 0.099 0.514 0.811
26 O 0.125 0.299 0.425
27 O 0.186 0.959 0.349
28 O 0.259 0.313 0.013
29 O 0.288 0.045 0.628
30 O 0.322 0.937 0.112
31 O 0.356 0.710 0.497
32 O 0.458 0.458 0.684
33 O 0.542 0.542 0.316
34 O 0.644 0.290 0.503
35 O 0.678 0.063 0.888
36 O 0.712 0.955 0.372
37 O 0.741 0.687 0.987
38 O 0.814 0.041 0.651
39 O 0.875 0.701 0.575
40 O 0.901 0.486 0.189
41 O 0.903 0.094 0.182